For VSb3P6O24, a cell relaxed with PBE+U gives the calculated powder diffractogram in this record (copper Kα).
Neutral-atom scattering factors, no anomalous dispersion.

Largest 10 diffraction maxima, in order of rising 2θ, 2θ = 5–70°:
2θ (°), I_rel
14.27, 46.4
19.95, 100.0
20.50, 70.5
23.83, 63.5
28.76, 64.4
31.87, 57.3
35.58, 27.5
35.91, 26.8
52.47, 21.4
56.19, 19.1

Atomic structure:
```
data_VSb3P6O24
_space_group_name_H-M_alt 'R 3'
_space_group_IT_number 146
_space_group_name_Hall 'R 3'
_cell_length_a 8.6628
_cell_length_b 8.6628
_cell_length_c 22.1172
_cell_angle_alpha 90.00
_cell_angle_beta 90.00
_cell_angle_gamma 120.00
loop_
_atom_site_label
_atom_site_fract_x
_atom_site_fract_y
_atom_site_fract_z
V1 0.0000 0.0000 0.0000
Sb1 0.0000 0.0000 0.2139
Sb2 0.0000 0.0000 0.5014
Sb3 0.0000 0.0000 0.7149
P1 0.0000 0.2865 0.1069
P2 0.0004 0.7111 0.6081
O1 0.0257 0.1909 0.7705
O2 0.0276 0.8246 0.5503
O3 0.0286 0.2028 0.0517
O4 0.0343 0.8400 0.2692
O5 0.1560 0.4565 0.8332
O6 0.1642 0.6947 0.6141
O7 0.1649 0.7056 0.3315
O8 0.1671 0.4751 0.1139
```

=====

For V2SbP3O12, a cell relaxed with PBE+U gives the calculated powder diffractogram in this record (copper Kα).
Neutral-atom scattering factors, no anomalous dispersion.

Largest 10 diffraction maxima, in order of rising 2θ, 2θ = 5–70°:
2θ (°), I_rel
14.25, 27.0
20.38, 100.0
23.77, 70.1
24.96, 33.5
31.96, 93.5
35.70, 38.2
45.91, 32.8
48.66, 33.6
55.83, 25.7
61.79, 23.8

Atomic structure:
```
data_V2SbP3O12
_space_group_name_H-M_alt 'R -3 c'
_space_group_IT_number 167
_space_group_name_Hall '-R 3 2"c'
_cell_length_a 8.7133
_cell_length_b 8.7133
_cell_length_c 21.9337
_cell_angle_alpha 90.00
_cell_angle_beta 90.00
_cell_angle_gamma 120.00
loop_
_atom_site_label
_atom_site_fract_x
_atom_site_fract_y
_atom_site_fract_z
V1 0.0000 0.0000 0.1463
Sb1 0.0000 0.0000 0.0000
P1 0.0000 0.2888 0.2500
O1 0.0070 0.1992 0.1913
O2 0.0205 0.1861 0.9184
```

=====

For Sb3P6WO24, a cell relaxed with PBE+U gives the calculated powder diffractogram in this record (copper Kα).
Neutral-atom scattering factors, no anomalous dispersion.

Largest 10 diffraction maxima, in order of rising 2θ, 2θ = 5–70°:
2θ (°), I_rel
13.92, 37.4
19.38, 100.0
20.09, 75.2
23.27, 38.6
28.06, 58.0
30.99, 44.7
34.75, 33.8
35.17, 28.4
45.58, 18.9
50.90, 21.7

Atomic structure:
```
data_Sb3P6WO24
_space_group_name_H-M_alt 'R 3'
_space_group_IT_number 146
_space_group_name_Hall 'R 3'
_cell_length_a 8.8396
_cell_length_b 8.8396
_cell_length_c 22.8628
_cell_angle_alpha 90.00
_cell_angle_beta 90.00
_cell_angle_gamma 120.00
loop_
_atom_site_label
_atom_site_fract_x
_atom_site_fract_y
_atom_site_fract_z
Sb1 0.0000 0.0000 0.0000
Sb2 0.0000 0.0000 0.2177
Sb3 0.0000 0.0000 0.5043
P1 0.0035 0.7058 0.1110
P2 0.0624 0.3734 0.2753
W1 0.0000 0.0000 0.7148
O1 0.0193 0.8283 0.4541
O2 0.0265 0.8349 0.7610
O3 0.0567 0.8255 0.0587
O4 0.0738 0.2050 0.2764
O5 0.1329 0.4529 0.6109
O6 0.1461 0.7131 0.8334
O7 0.1525 0.4771 0.2189
O8 0.1715 0.4792 0.3303
```

=====

For Ti3VSn2P6O24, a cell relaxed with PBE+U gives the calculated powder diffractogram in this record (copper Kα).
Neutral-atom scattering factors, no anomalous dispersion.

Largest 10 diffraction maxima, in order of rising 2θ, 2θ = 5–70°:
2θ (°), I_rel
20.61, 100.0
23.66, 78.9
25.08, 29.5
31.17, 99.8
32.68, 26.4
36.10, 36.0
44.93, 21.4
48.42, 34.2
56.49, 25.4
61.86, 20.8

Atomic structure:
```
data_Ti3VSn2P6O24
_space_group_name_H-M_alt 'R 3'
_space_group_IT_number 146
_space_group_name_Hall 'R 3'
_cell_length_a 8.6193
_cell_length_b 8.6193
_cell_length_c 23.0773
_cell_angle_alpha 90.00
_cell_angle_beta 90.00
_cell_angle_gamma 120.00
loop_
_atom_site_label
_atom_site_fract_x
_atom_site_fract_y
_atom_site_fract_z
Ti1 0.0000 0.0000 0.0000
Ti2 0.0000 0.0000 0.2080
Ti3 0.0000 0.0000 0.5101
V1 0.0000 0.0000 0.7049
Sn1 0.0000 0.0000 0.3685
Sn2 0.0000 0.0000 0.8403
P1 0.0061 0.7200 0.1049
P2 0.0428 0.3746 0.2725
O1 0.0030 0.1833 0.2577
O2 0.0257 0.8256 0.0490
O3 0.0305 0.8315 0.7694
O4 0.0314 0.2015 0.5508
O5 0.1498 0.6688 0.8266
O6 0.1603 0.4409 0.3255
O7 0.1735 0.4726 0.6143
O8 0.1760 0.6977 0.1098
```

=====

For TiV3Sn2P6O24, a cell relaxed with PBE+U gives the calculated powder diffractogram in this record (copper Kα).
Neutral-atom scattering factors, no anomalous dispersion.

Largest 10 diffraction maxima, in order of rising 2θ, 2θ = 5–70°:
2θ (°), I_rel
20.53, 96.6
23.74, 70.3
25.05, 30.5
31.57, 100.0
32.60, 23.6
35.95, 35.0
45.44, 29.6
48.58, 41.3
56.25, 25.8
61.89, 32.4

Atomic structure:
```
data_TiV3Sn2P6O24
_space_group_name_H-M_alt 'R 3'
_space_group_IT_number 146
_space_group_name_Hall 'R 3'
_cell_length_a 8.6541
_cell_length_b 8.6541
_cell_length_c 22.5013
_cell_angle_alpha 90.00
_cell_angle_beta 90.00
_cell_angle_gamma 120.00
loop_
_atom_site_label
_atom_site_fract_x
_atom_site_fract_y
_atom_site_fract_z
Ti1 0.0000 0.0000 0.0000
V1 0.0000 0.0000 0.2060
V2 0.0000 0.0000 0.4997
V3 0.0000 0.0000 0.7039
Sn1 0.0000 0.0000 0.3528
Sn2 0.0000 0.0000 0.8491
P1 0.0012 0.7131 0.6023
P2 0.0473 0.3800 0.7697
O1 0.0143 0.1929 0.0462
O2 0.0207 0.8181 0.5452
O3 0.0222 0.8325 0.2649
O4 0.0269 0.1912 0.7651
O5 0.1505 0.6842 0.3261
O6 0.1516 0.4666 0.8267
O7 0.1686 0.4738 0.1056
O8 0.1695 0.6918 0.6078
```

=====

Number 5 is which compound? TiV3Sn2P6O24